The following is a theoretical PXRD pattern of MgV4O7F5. It was derived from a structure optimized by DFT (GGA+U), using Cu Kα X-rays.

The 10 most intense peaks (2θ from 10° to 90°), in order of rising 2θ:
22.91 deg, I = 100, (1 0 1); 23.65 deg, I = 92, (1 1 -1); 24.64 deg, I = 92, (0 1 2); 32.37 deg, I = 20, (0 1 -2); 33.63 deg, I = 18, (1 2 1); 39.98 deg, I = 20, (2 2 0); 46.81 deg, I = 23, (2 0 2); 48.38 deg, I = 21, (2 2 -2); 50.53 deg, I = 20, (0 2 4); 54.88 deg, I = 17, (-1 2 3)

Unit cell a=5.287 b=5.348 c=8.805 alpha=76.31 beta=89.27 gamma=61.84
Space group P1 (No. 1)
Inequivalent atoms, fractional coordinates:
Mg  0.000  0.000  0.000 [1 per cell]
V  0.091  0.817  0.377 [1 per cell]
V  0.351  0.355  0.113 [1 per cell]
V  0.536  0.955  0.839 [1 per cell]
V  0.786  0.427  0.609 [1 per cell]
O  0.229  0.681  0.210 [1 per cell]
O  0.291  0.150  0.969 [1 per cell]
O  0.382  0.624  0.515 [1 per cell]
O  0.713  0.170  0.155 [1 per cell]
O  0.726  0.665  0.722 [1 per cell]
O  0.745  0.145  0.788 [1 per cell]
O  0.879  0.659  0.429 [1 per cell]
F  0.213  0.155  0.272 [1 per cell]
F  0.217  0.178  0.667 [1 per cell]
F  0.335  0.668  0.924 [1 per cell]
F  0.851  0.694  0.014 [1 per cell]
F  0.858  0.143  0.474 [1 per cell]